Entry 1:
Theoretical powder X-ray diffraction pattern
Compound: TbNd5Ga4
Radiation: copper Kα
Structure: the PBE geometry in Alexandria
Kinematic intensities with the Lorentz-polarization factor, no thermal factor.

a b c (Å): 7.932 8.801 8.367
angles (deg): 90.00 90.00 90.00
Element x y z (fractional)
Tb: 0.250 0.250 0.080
Tb: 0.750 0.750 0.920
Nd: 0.003 0.554 0.268
Nd: 0.003 0.946 0.268
Nd: 0.250 0.750 0.649
Nd: 0.497 0.554 0.268
Nd: 0.497 0.946 0.268
Nd: 0.503 0.054 0.732
Nd: 0.503 0.446 0.732
Nd: 0.750 0.250 0.351
Nd: 0.997 0.054 0.732
Nd: 0.997 0.446 0.732
Ga: 0.097 0.250 0.436
Ga: 0.250 0.597 0.986
Ga: 0.250 0.903 0.986
Ga: 0.403 0.250 0.436
Ga: 0.597 0.750 0.564
Ga: 0.750 0.097 0.014
Ga: 0.750 0.403 0.014
Ga: 0.903 0.750 0.564

The 12 most intense peaks (10 to 80 degrees two-theta), most intense first:
| 2θ/deg | I (rel.) |
| --- | --- |
| 31.1 | 100.0 |
| 32.3 | 93.2 |
| 30.3 | 87.9 |
| 26.9 | 78.8 |
| 29.5 | 63.6 |
| 37.3 | 55.6 |
| 33.7 | 47.2 |
| 58.4 | 36.1 |
| 50.7 | 34.2 |
| 24.8 | 33.6 |
| 48.2 | 30.3 |
| 47.6 | 29.9 |

---

Entry 2:
Theoretical powder X-ray diffraction pattern
Compound: Na2P2PdRh
Radiation: copper Kα
Structure: the PBE geometry in Alexandria
Kinematic intensities with the Lorentz-polarization factor, no thermal factor.

a b c (Å): 7.623 7.623 7.623
angles (deg): 133.42 66.73 135.05
Element x y z (fractional)
Na: 0.176 0.243 0.418
Na: 0.324 0.743 0.067
Na: 0.676 0.257 0.933
Na: 0.824 0.757 0.582
P: 0.094 0.737 0.832
P: 0.406 0.237 0.643
P: 0.594 0.763 0.357
P: 0.906 0.263 0.168
Pd: 0.250 0.250 0.000
Pd: 0.750 0.750 0.000
Rh: 0.250 0.750 0.500
Rh: 0.750 0.250 0.500

The 12 most intense peaks (10 to 80 degrees two-theta), most intense first:
| 2θ/deg | I (rel.) |
| --- | --- |
| 13.9 | 100.0 |
| 32.9 | 27.1 |
| 43.2 | 26.7 |
| 33.8 | 25.0 |
| 41.2 | 21.6 |
| 42.0 | 20.6 |
| 45.6 | 19.0 |
| 28.0 | 10.1 |
| 52.3 | 7.4 |
| 35.4 | 7.2 |
| 62.3 | 7.1 |
| 52.8 | 7.0 |